No. 1
For Pm6SnP4, the GGA-PBE geometry in Alexandria gives the calculated powder XRD pattern in this record (Cu Ka).
Neutral-atom scattering factors, no anomalous dispersion.

Most intense lines, 2θ from 15° to 90°, most intense first:
2theta, d (Å), Rel. int., (hkl)
30.34, 2.946, 100.0, 1 3 2
28.48, 3.134, 99.5, 0 2 6
28.11, 3.174, 59.2, 1 1 4
52.96, 1.729, 41.7, 2 2 6
43.18, 2.095, 39.0, 0 6 4
29.42, 3.036, 36.5, 1 3 1

Unit cell a=4.146 b=13.680 c=21.152 alpha=90.00 beta=90.00 gamma=90.00
Space group Cmcm (No. 63)
Asymmetric unit:
Pm 0.000 0.000 0.000 (multiplicity 4)
Pm 0.000 0.163 0.250 (multiplicity 4)
Pm 0.000 0.273 0.581 (multiplicity 8)
Pm 0.000 0.459 0.158 (multiplicity 8)
Sn 0.000 0.162 0.750 (multiplicity 4)
P 0.000 0.092 0.124 (multiplicity 8)
P 0.000 0.362 0.041 (multiplicity 8)

No. 2
For PmTaP, the GGA-PBE geometry in Alexandria gives the calculated powder XRD pattern in this record (Cu Ka).
Neutral-atom scattering factors, no anomalous dispersion.

Most intense lines, 2θ from 15° to 90°, most intense first:
2theta, d (Å), Rel. int., (hkl)
36.39, 2.469, 100.0, 3 1 -1
29.01, 3.078, 78.0, 1 1 1
27.99, 3.188, 33.6, 2 0 -2
47.89, 1.900, 33.2, 0 2 0
37.30, 2.411, 21.3, 1 1 2
34.57, 2.594, 19.4, 1 1 -2

Unit cell a=10.089 b=3.801 c=7.184 alpha=90.00 beta=101.76 gamma=90.00
Space group C2/m (No. 12)
Asymmetric unit:
Pm 0.109 0.000 0.321 (multiplicity 4)
Ta 0.134 0.500 0.947 (multiplicity 4)
P 0.187 0.000 0.740 (multiplicity 4)

No. 3
For Pm7Te4P4, the GGA-PBE geometry in Alexandria gives the calculated powder XRD pattern in this record (Cu Ka).
Neutral-atom scattering factors, no anomalous dispersion.

Most intense lines, 2θ from 15° to 90°, most intense first:
2theta, d (Å), Rel. int., (hkl)
32.04, 2.794, 100.0, 5 0 1
35.85, 2.505, 52.8, 6 0 0
23.76, 3.745, 40.3, 0 0 2
47.30, 1.922, 33.1, 5 0 3
30.37, 2.944, 18.9, 3 1 2
48.62, 1.873, 12.9, 0 0 4

Unit cell a=15.054 b=15.054 c=7.491 alpha=90.00 beta=90.00 gamma=90.00
Space group I4/mmm (No. 139)
Asymmetric unit:
Pm 0.000 0.000 0.243 (multiplicity 4)
Pm 0.000 0.288 0.000 (multiplicity 8)
Pm 0.000 0.366 0.500 (multiplicity 8)
Pm 0.215 0.215 0.500 (multiplicity 8)
Te 0.000 0.169 0.500 (multiplicity 8)
Te 0.128 0.128 0.000 (multiplicity 8)
P 0.144 0.356 0.250 (multiplicity 16)

No. 4
For PmTh2P3, the GGA-PBE geometry in Alexandria gives the calculated powder XRD pattern in this record (Cu Ka).
Neutral-atom scattering factors, no anomalous dispersion.

Most intense lines, 2θ from 15° to 90°, most intense first:
2theta, d (Å), Rel. int., (hkl)
26.38, 3.379, 100.0, 1 1 0
30.55, 2.926, 99.5, 1 0 3
43.77, 2.068, 62.0, 2 0 0
51.80, 1.765, 42.3, 2 1 3
72.22, 1.308, 28.6, 3 0 3
70.10, 1.342, 13.9, 2 3 3

Unit cell a=4.134 b=5.847 c=12.441 alpha=90.00 beta=90.00 gamma=90.00
Space group Immm (No. 71)
Asymmetric unit:
Pm 0.000 0.000 0.000 (multiplicity 2)
Th 0.000 0.000 0.334 (multiplicity 4)
P 0.000 0.500 0.000 (multiplicity 2)
P 0.000 0.500 0.332 (multiplicity 4)

No. 5
For Pm2Th3P4, the GGA-PBE geometry in Alexandria gives the calculated powder XRD pattern in this record (Cu Ka).
Neutral-atom scattering factors, no anomalous dispersion.

Most intense lines, 2θ from 15° to 90°, most intense first:
2theta, d (Å), Rel. int., (hkl)
25.93, 3.436, 100.0, 2 2 -1
35.94, 2.499, 53.1, 0 2 3
23.64, 3.763, 44.8, 1 1 -2
25.72, 3.464, 42.5, 2 0 2
30.20, 2.959, 39.3, 1 3 1
37.72, 2.385, 35.4, 4 2 1

Unit cell a=11.511 b=9.817 c=8.709 alpha=90.00 beta=90.28 gamma=90.00
Space group C2/c (No. 15)
Asymmetric unit:
Pm 0.137 0.169 0.123 (multiplicity 8)
Th 0.000 0.120 0.750 (multiplicity 4)
Th 0.133 0.395 0.550 (multiplicity 8)
P 0.113 0.108 0.445 (multiplicity 8)
P 0.115 0.358 0.880 (multiplicity 8)

No. 6
For PmTh2UP4, the GGA-PBE geometry in Alexandria gives the calculated powder XRD pattern in this record (Cu Ka).
Neutral-atom scattering factors, no anomalous dispersion.

Most intense lines, 2θ from 15° to 90°, most intense first:
2theta, d (Å), Rel. int., (hkl)
26.68, 3.341, 100.0, 1 1 2
30.91, 2.893, 96.9, 2 0 0
44.28, 2.046, 72.5, 2 2 0
52.45, 1.745, 50.6, 1 1 6
73.15, 1.294, 33.7, 4 2 0
54.97, 1.670, 25.7, 2 2 4

Unit cell a=5.788 b=5.788 c=11.565 alpha=90.00 beta=90.00 gamma=90.00
Space group I-4m2 (No. 119)
Asymmetric unit:
Pm 0.000 0.000 0.000 (multiplicity 2)
Th 0.000 0.000 0.500 (multiplicity 2)
Th 0.000 0.500 0.250 (multiplicity 2)
U 0.000 0.500 0.750 (multiplicity 2)
P 0.000 0.000 0.250 (multiplicity 4)
P 0.000 0.500 0.507 (multiplicity 4)